For Tm12Pd6Pb, a DFT-relaxed cell (PBE, Alexandria) gives the computed X-ray powder pattern in this record (a wavelength of 1.5418 Å).

Crystal structure
```
data_Tm12Pd6Pb
_chemical_formula_sum 'Tm24 Pd12 Pb2'
_cell_length_a 9.8451
_cell_length_b 9.8451
_cell_length_c 9.8451
_cell_angle_alpha 90.00
_cell_angle_beta 90.00
_cell_angle_gamma 90.00
_symmetry_space_group_name_H-M 'I m -3'
_symmetry_Int_Tables_number 204
_symmetry_space_group_name_Hall '-I 2 2 3'
loop_
_atom_site_label
_atom_site_fract_x
_atom_site_fract_y
_atom_site_fract_z
Tm1 0.0000 0.1844 0.2974
Pd1 0.0000 0.3625 0.5000
Pb1 0.0000 0.0000 0.0000
```

Peak list (10 most intense, 10° ≤ 2θ ≤ 90°, in order of rising 2θ)
d [Å]	I_rel	(hkl)
3.113	17	3 1 0
2.842	27	2 2 2
2.631	100	3 2 1
2.461	15	4 0 0
1.931	18	5 1 0
1.688	21	5 0 3
1.641	13	6 0 0
1.597	31	5 3 2
1.392	16	5 4 3
1.144	14	7 5 0